(1)
The following is a computed XRD peak list of Mg6BiB. It was derived from a structure optimized by DFT (GGA-PBE), using Cu Kα X-rays.

The 6 most intense peaks (10° ≤ 2θ ≤ 90°), by angle:
d = 6.619 Å, 2θ 13.38, rel. 82
d = 5.481 Å, 2θ 16.17, rel. 97
d = 3.559 Å, 2θ 25.02, rel. 60
d = 3.481 Å, 2θ 25.59, rel. 100
d = 2.668 Å, 2θ 33.59, rel. 71
d = 2.342 Å, 2θ 38.44, rel. 94

Cell and atoms:
```
8
Lattice="4.508 0.000 0.000 0.000 3.010 6.619 0.000 -3.010 6.619" Properties=species:S:1:pos:R:3 pbc="T T T"
Mg 0.000 0.000 0.000
Mg 0.000 -1.350 9.509
Mg 0.000 1.350 9.509
Mg 2.254 -1.551 5.030
Mg 2.254 0.000 1.890
Mg 2.254 1.551 5.030
Bi 0.000 0.000 6.353
B 2.254 0.000 9.758
```

---

(2)
The following is a computed XRD peak list of Na2TiAuF6. It was derived from a structure optimized by DFT (GGA-PBE), using Cu Kα X-rays.

The 6 most intense peaks (10° ≤ 2θ ≤ 90°), by angle:
d = 5.282 Å, 2θ 16.79, rel. 37
d = 4.574 Å, 2θ 19.41, rel. 98
d = 3.234 Å, 2θ 27.58, rel. 100
d = 2.758 Å, 2θ 32.46, rel. 46
d = 2.287 Å, 2θ 39.40, rel. 42
d = 2.046 Å, 2θ 44.28, rel. 38

Cell and atoms:
```
10
Lattice="0.000 4.574 4.574 4.574 0.000 4.574 4.574 4.574 0.000" Properties=species:S:1:pos:R:3 pbc="T T T"
Na 2.287 2.287 2.287
Na 6.861 6.861 6.861
Ti 0.000 0.000 0.000
Au 4.574 4.574 4.574
F 4.574 4.574 1.892
F 4.574 1.892 4.574
F 7.256 4.574 4.574
F 1.892 4.574 4.574
F 4.574 7.256 4.574
F 4.574 4.574 7.256
```

---

(3)
The following is a computed XRD peak list of LiMg6W. It was derived from a structure optimized by DFT (GGA-PBE), using Cu Kα X-rays.

The 6 most intense peaks (10° ≤ 2θ ≤ 90°), by angle:
d = 5.326 Å, 2θ 16.65, rel. 100
d = 5.248 Å, 2θ 16.90, rel. 49
d = 4.933 Å, 2θ 17.98, rel. 44
d = 3.619 Å, 2θ 24.60, rel. 53
d = 2.343 Å, 2θ 38.41, rel. 83
d = 2.317 Å, 2θ 38.88, rel. 37

Cell and atoms:
```
8
Lattice="4.933 0.000 0.000 0.000 3.091 5.248 0.000 -3.091 5.248" Properties=species:S:1:pos:R:3 pbc="T T T"
Li 0.000 0.000 0.000
Mg 0.000 0.000 5.382
Mg 0.000 -1.443 7.848
Mg 0.000 1.443 7.848
Mg 2.466 -1.552 4.463
Mg 2.466 0.000 1.851
Mg 2.466 1.552 4.463
W 2.466 0.000 7.084
```

---

(4)
The following is a computed XRD peak list of NaGdSiO4. It was derived from a structure optimized by DFT (GGA-PBE), using Cu Kα X-rays.

The 6 most intense peaks (10° ≤ 2θ ≤ 90°), by angle:
d = 5.908 Å, 2θ 15.00, rel. 73
d = 4.903 Å, 2θ 18.09, rel. 100
d = 3.773 Å, 2θ 23.58, rel. 59
d = 3.736 Å, 2θ 23.81, rel. 79
d = 3.180 Å, 2θ 28.06, rel. 76
d = 2.800 Å, 2θ 31.96, rel. 98

Cell and atoms:
```
28
Lattice="-5.908 5.908 2.695 5.908 -5.908 2.695 5.908 5.908 -2.695" Properties=species:S:1:pos:R:3 pbc="T T T"
Na 4.643 1.023 0.000
Na 4.884 -1.265 2.695
Na 1.023 7.172 0.000
Na 1.265 4.884 2.695
Gd 9.560 1.428 0.000
Gd 1.428 2.256 0.000
Gd 4.479 3.652 2.695
Gd -3.652 4.479 2.695
Si 7.070 3.098 0.000
Si 3.098 4.746 0.000
Si 2.810 1.162 2.695
Si -1.162 2.810 2.695
O 6.383 3.631 -1.384
O 7.133 1.432 0.000
O 3.631 5.433 -1.384
O 3.603 3.164 0.000
O 2.276 0.475 1.310
O 2.743 -2.305 2.695
O 1.432 4.683 0.000
O -0.475 2.276 1.310
O 6.383 3.631 1.384
O 4.476 1.225 2.695
O 3.164 8.213 0.000
O 3.631 5.433 1.384
O 2.305 2.743 2.695
O 2.276 0.475 4.079
O -1.225 4.476 2.695
O -0.475 2.276 4.079
```

---

(5)
The following is a computed XRD peak list of Ho2Ga4Fe13C2. It was derived from a structure optimized by DFT (GGA-PBE), using Cu Kα X-rays.

The 6 most intense peaks (10° ≤ 2θ ≤ 90°), by angle:
d = 3.018 Å, 2θ 29.60, rel. 58
d = 2.180 Å, 2θ 41.43, rel. 60
d = 2.173 Å, 2θ 41.55, rel. 45
d = 2.159 Å, 2θ 41.83, rel. 98
d = 2.145 Å, 2θ 42.14, rel. 100
d = 2.120 Å, 2θ 42.64, rel. 98

Cell and atoms:
```
21
Lattice="6.508 0.000 0.000 0.870 6.467 0.000 0.884 0.679 6.520" Properties=species:S:1:pos:R:3 pbc="T T T"
Ho 0.000 0.000 0.000
Ho 2.703 2.310 2.130
Ga 3.029 2.622 5.220
Ga 3.108 5.477 2.186
Ga 5.092 7.085 6.465
Ga 5.988 2.327 2.147
Fe 1.371 4.043 6.519
Fe 0.516 0.383 3.453
Fe 2.196 4.765 4.366
Fe 3.861 6.571 4.326
Fe 3.871 4.884 6.207
Fe 4.710 4.071 3.737
Fe 5.502 3.066 6.196
Fe 5.081 1.505 4.322
Fe 5.072 4.373 1.056
Fe 5.539 6.406 2.470
Fe 6.279 5.402 4.921
Fe 7.092 2.888 4.353
Fe 7.140 4.578 2.463
C 1.722 4.314 1.015
C 4.597 1.164 1.067
```

---

(6)
The following is a computed XRD peak list of NaAl3. It was derived from a structure optimized by DFT (GGA-PBE), using Cu Kα X-rays.

The 6 most intense peaks (10° ≤ 2θ ≤ 90°), by angle:
d = 2.406 Å, 2θ 37.38, rel. 51
d = 2.389 Å, 2θ 37.65, rel. 100
d = 1.701 Å, 2θ 53.89, rel. 17
d = 1.386 Å, 2θ 67.60, rel. 33
d = 1.376 Å, 2θ 68.15, rel. 16
d = 1.194 Å, 2θ 80.39, rel. 10

Cell and atoms:
```
4
Lattice="-2.406 2.406 3.355 2.406 -2.406 3.355 2.406 2.406 -3.355" Properties=species:S:1:pos:R:3 pbc="T T T"
Na 0.000 0.000 0.000
Al 2.406 0.000 1.677
Al 0.000 0.000 3.355
Al 0.000 2.406 1.677
```

---

(7)
The following is a computed XRD peak list of Ba2MgGe2O7. It was derived from a structure optimized by DFT (GGA-PBE), using Cu Kα X-rays.

The 6 most intense peaks (10° ≤ 2θ ≤ 90°), by angle:
d = 6.009 Å, 2θ 14.74, rel. 14
d = 3.150 Å, 2θ 28.34, rel. 100
d = 2.687 Å, 2θ 33.34, rel. 16
d = 1.944 Å, 2θ 46.74, rel. 15
d = 1.935 Å, 2θ 46.95, rel. 12
d = 1.519 Å, 2θ 60.98, rel. 14

Cell and atoms:
```
24
Lattice="8.498 0.000 0.000 0.000 8.498 0.000 0.000 0.000 5.629" Properties=species:S:1:pos:R:3 pbc="T T T"
Ba 1.403 2.845 2.766
Ba 2.845 7.094 2.863
Ba 5.652 1.403 2.863
Ba 7.094 5.652 2.766
Mg 0.000 0.000 0.000
Mg 4.249 4.249 0.000
Ge 1.198 5.447 5.394
Ge 3.051 1.198 0.235
Ge 5.447 7.300 0.235
Ge 7.300 3.051 5.394
O 0.000 4.249 4.720
O 0.675 6.939 4.586
O 1.182 5.431 1.511
O 1.559 0.675 1.043
O 2.690 4.924 4.586
O 3.067 1.182 4.118
O 3.574 2.690 1.043
O 4.249 0.000 0.909
O 4.924 5.808 1.043
O 5.431 7.316 4.118
O 5.808 3.574 4.586
O 6.939 7.822 1.043
O 7.316 3.067 1.511
O 7.822 1.559 4.586
```

---

(8)
The following is a computed XRD peak list of Er3Ni2. It was derived from a structure optimized by DFT (GGA-PBE), using Cu Kα X-rays.

The 6 most intense peaks (10° ≤ 2θ ≤ 90°), by angle:
d = 2.873 Å, 2θ 31.13, rel. 58
d = 2.733 Å, 2θ 32.77, rel. 96
d = 2.615 Å, 2θ 34.29, rel. 100
d = 2.448 Å, 2θ 36.71, rel. 55
d = 2.262 Å, 2θ 39.85, rel. 71
d = 2.217 Å, 2θ 40.69, rel. 54

Cell and atoms:
```
15
Lattice="4.240 2.448 5.203 -4.240 2.448 5.203 0.000 -4.896 5.203" Properties=species:S:1:pos:R:3 pbc="T T T"
Er 0.000 0.000 0.000
Er -0.916 -1.874 6.351
Er 0.000 0.000 3.240
Er -2.081 -0.143 9.257
Er -1.165 1.730 6.351
Er 1.165 -1.730 9.257
Er 2.081 0.143 6.351
Er 0.000 0.000 12.368
Er 0.916 1.874 9.257
Ni -3.460 0.171 6.811
Ni -1.878 -2.911 8.797
Ni 1.582 -3.082 6.811
Ni -1.582 3.082 8.797
Ni 1.878 2.911 6.811
Ni 3.460 -0.171 8.797
```